Entry 1:
This entry pairs a crystal structure of Sr3Al2Sn2 with its theoretical X-ray powder pattern. Radiation: copper Kα. Structure: a structure optimized by DFT (PBE).
No peak broadening, texture or thermal motion is included.

Crystal structure
a b c (Å): 10.575 10.575 10.575
angles (deg): 155.38 152.75 37.05
Positions (direct):
1 Sr 0.000 0.000 0.000
2 Sr 0.182 0.682 0.500
3 Sr 0.818 0.318 0.500
4 Al 0.437 0.437 0.000
5 Al 0.563 0.563 0.000
6 Sn 0.358 0.858 0.500
7 Sn 0.642 0.142 0.500

Principal peaks in the range 2θ = 10–90°, by angle:
two_theta, intensity
26.67, 88
28.14, 100
28.57, 59
32.18, 90
36.05, 48
37.19, 47
38.07, 30
40.00, 36
52.76, 34
54.94, 32

***

Entry 2:
This entry pairs a crystal structure of Sr11Al4Sn3 with its theoretical X-ray powder pattern. Radiation: copper Kα. Structure: a structure optimized by DFT (PBE).
No peak broadening, texture or thermal motion is included.

Crystal structure
a b c (Å): 12.327 12.327 12.327
angles (deg): 60.00 60.00 60.00
Positions (direct):
1 Sr 0.000 0.000 0.000
2 Sr 0.000 0.000 0.335
3 Sr 0.000 0.000 0.665
4 Sr 0.000 0.335 0.000
5 Sr 0.000 0.335 0.665
6 Sr 0.000 0.665 0.000
7 Sr 0.000 0.665 0.335
8 Sr 0.113 0.629 0.629
9 Sr 0.335 0.000 0.000
10 Sr 0.335 0.000 0.665
11 Sr 0.335 0.665 0.000
12 Sr 0.371 0.371 0.371
13 Sr 0.371 0.371 0.887
14 Sr 0.371 0.887 0.371
15 Sr 0.500 0.500 0.500
16 Sr 0.629 0.113 0.629
17 Sr 0.629 0.629 0.113
18 Sr 0.629 0.629 0.629
19 Sr 0.665 0.000 0.000
20 Sr 0.665 0.000 0.335
21 Sr 0.665 0.335 0.000
22 Sr 0.887 0.371 0.371
23 Al 0.195 0.195 0.195
24 Al 0.195 0.195 0.416
25 Al 0.195 0.416 0.195
26 Al 0.416 0.195 0.195
27 Al 0.584 0.805 0.805
28 Al 0.805 0.584 0.805
29 Al 0.805 0.805 0.584
30 Al 0.805 0.805 0.805
31 Sn 0.283 0.283 0.717
32 Sn 0.283 0.717 0.283
33 Sn 0.283 0.717 0.717
34 Sn 0.717 0.283 0.283
35 Sn 0.717 0.283 0.717
36 Sn 0.717 0.717 0.283

Principal peaks in the range 2θ = 10–90°, by angle:
two_theta, intensity
26.57, 100
28.97, 61
30.33, 69
30.77, 81
39.72, 23
44.08, 26
51.35, 35
54.44, 17
60.82, 20
70.66, 19

***

Entry 3:
This entry pairs a crystal structure of AlV12Sn3 with its theoretical X-ray powder pattern. Radiation: copper Kα. Structure: a structure optimized by DFT (PBE).
No peak broadening, texture or thermal motion is included.

Crystal structure
a b c (Å): 4.934 4.943 9.803
angles (deg): 90.00 90.00 90.00
Positions (direct):
1 Al 0.000 0.000 0.000
2 V 0.000 0.500 0.116
3 V 0.000 0.500 0.374
4 V 0.000 0.500 0.626
5 V 0.000 0.500 0.884
6 V 0.244 0.000 0.241
7 V 0.244 0.000 0.759
8 V 0.500 0.230 0.000
9 V 0.500 0.250 0.500
10 V 0.500 0.750 0.500
11 V 0.500 0.770 0.000
12 V 0.756 0.000 0.241
13 V 0.756 0.000 0.759
14 Sn 0.000 0.000 0.500
15 Sn 0.500 0.500 0.249
16 Sn 0.500 0.500 0.751

Principal peaks in the range 2θ = 10–90°, by angle:
two_theta, intensity
25.55, 22
36.39, 46
36.67, 22
40.88, 52
41.12, 30
45.02, 100
45.20, 48
71.53, 24
71.65, 25
71.88, 24

***

Entry 4:
This entry pairs a crystal structure of SrAl2 with its theoretical X-ray powder pattern. Radiation: copper Kα. Structure: a structure optimized by DFT (PBE).
No peak broadening, texture or thermal motion is included.

Crystal structure
a b c (Å): 6.093 6.093 6.093
angles (deg): 133.58 99.13 98.74
Positions (direct):
1 Sr 0.300 0.050 0.250
2 Sr 0.700 0.950 0.750
3 Al 0.093 0.661 0.432
4 Al 0.271 0.339 0.932
5 Al 0.729 0.661 0.068
6 Al 0.907 0.339 0.568

Principal peaks in the range 2θ = 10–90°, by angle:
two_theta, intensity
21.63, 24
22.46, 18
31.39, 100
31.97, 23
37.46, 20
38.87, 20
50.05, 13
52.82, 14
61.63, 14
63.82, 13

***

Entry 5:
This entry pairs a crystal structure of SrAl4 with its theoretical X-ray powder pattern. Radiation: copper Kα. Structure: a structure optimized by DFT (PBE).
No peak broadening, texture or thermal motion is included.

Crystal structure
a b c (Å): 6.449 6.449 6.449
angles (deg): 139.50 139.50 58.61
Positions (direct):
1 Sr 0.000 0.000 0.000
2 Al 0.250 0.750 0.500
3 Al 0.384 0.384 0.000
4 Al 0.616 0.616 0.000
5 Al 0.750 0.250 0.500

Principal peaks in the range 2θ = 10–90°, by angle:
two_theta, intensity
21.41, 28
28.27, 26
31.15, 73
32.53, 100
40.41, 47
45.13, 33
51.89, 34
58.48, 16
62.17, 25
68.53, 22